This entry pairs a crystal structure of Gd2Sn2O7 with its calculated X-ray powder pattern. Radiation: Cu Kα (λ = 1.5418 Å). Structure: a crystal structure in the Materials Project, relaxed with PBE.
Peak positions follow from Bragg's law for the DFT cell and can differ from measured ones.

a b c (Å): 10.588 10.588 10.588
angles (deg): 90.00 90.00 90.00
Space group Fd-3m (No. 227, origin choice 2)
One atom of each set of equivalent atoms:
Gd  0.000  0.000  0.000 [16 per cell]
Sn  0.000  0.000  0.500 [16 per cell]
O  0.087  0.375  0.875 [48 per cell]
O  0.125  0.125  0.125 [8 per cell]

Most intense lines, 2θ from 10° to 80°, by angle:
- 14.49°, I = 1
- 29.22°, I = 100
- 33.87°, I = 34
- 37.01°, I = 3
- 44.46°, I = 1
- 48.65°, I = 49
- 57.76°, I = 45
- 60.59°, I = 10
- 71.25°, I = 7
- 78.81°, I = 19